Record 1
LiMoO2: theoretical X-ray diffraction stick pattern (Cu Kα, 1.54184 Å), based on a structure optimized by DFT (PBE+U).
Lines closer than 0.1° are merged.

Most intense lines, 10 to 80 degrees two-theta, low angle first:
- 2θ = 17.06°, I 100
- 2θ = 34.47°, I 40
- 2θ = 35.88°, I 16
- 2θ = 36.41°, I 14
- 2θ = 41.33°, I 40
- 2θ = 42.94°, I 17
- 2θ = 44.94°, I 16
- 2θ = 46.68°, I 7
- 2θ = 53.89°, I 9
- 2θ = 58.84°, I 13
- 2θ = 59.42°, I 7
- 2θ = 63.34°, I 8

Structural model:
```
data_LiMoO2
_symmetry_space_group_name_H-M 'C 1 2/m 1'
_symmetry_Int_Tables_number 12
_cell_length_a 10.5217
_cell_length_b 3.1111
_cell_length_c 4.9965
_cell_angle_alpha 90.00
_cell_angle_beta 98.93
_cell_angle_gamma 90.00
loop_
_symmetry_equiv_pos_as_xyz
'x,y,z'
'-x,-y,-z'
'-x,y,-z'
'x,-y,z'
'x+1/2,y+1/2,z'
'-x+1/2,-y+1/2,-z'
'-x+1/2,y+1/2,-z'
'x+1/2,-y+1/2,z'
loop_
_atom_site_label
_atom_site_type_symbol
_atom_site_fract_x
_atom_site_fract_y
_atom_site_fract_z
Li1 Li 0.0000 0.0000 0.0000
Li2 Li 0.0000 0.5000 0.5000
Mo1 Mo 0.2470 0.0000 0.7835
O1 O 0.1138 0.5000 0.8586
O2 O 0.1406 0.0000 0.3709
```

Record 2
Li2Mo4O13: theoretical X-ray diffraction stick pattern (Cu Kα, 1.54184 Å), based on a structure optimized by DFT (PBE+U).
Lines closer than 0.1° are merged.

Most intense lines, 10 to 80 degrees two-theta, low angle first:
- 2θ = 10.92°, I 83
- 2θ = 14.13°, I 42
- 2θ = 15.81°, I 81
- 2θ = 21.95°, I 48
- 2θ = 24.10°, I 37
- 2θ = 24.29°, I 100
- 2θ = 24.69°, I 86
- 2θ = 26.09°, I 52
- 2θ = 28.07°, I 49
- 2θ = 31.06°, I 43
- 2θ = 42.45°, I 36
- 2θ = 47.70°, I 36

Structural model:
```
data_Li2Mo4O13
_symmetry_space_group_name_H-M 'P -1'
_symmetry_Int_Tables_number 2
_cell_length_a 8.3941
_cell_length_b 8.7675
_cell_length_c 11.8635
_cell_angle_alpha 110.95
_cell_angle_beta 94.45
_cell_angle_gamma 96.32
loop_
_symmetry_equiv_pos_as_xyz
'x,y,z'
'-x,-y,-z'
loop_
_atom_site_label
_atom_site_type_symbol
_atom_site_fract_x
_atom_site_fract_y
_atom_site_fract_z
Li1 Li 0.1036 0.4874 0.3705
Li2 Li 0.2936 0.0236 0.0107
Li3 Li 0.3079 0.4634 0.6251
Mo1 Mo 0.0274 0.8461 0.3647
Mo2 Mo 0.0283 0.3372 0.0364
Mo3 Mo 0.2267 0.8225 0.6343
Mo4 Mo 0.3661 0.6453 0.9650
Mo5 Mo 0.3787 0.1966 0.3631
Mo6 Mo 0.4159 0.8282 0.3634
O1 O 0.0185 0.7919 0.2094
O2 O 0.0638 0.4220 0.1948
O3 O 0.0837 0.6454 0.5968
O4 O 0.0875 0.9632 0.5819
O5 O 0.1108 0.3057 0.6193
O6 O 0.1371 0.1721 0.9978
O7 O 0.1517 0.5014 0.9916
O8 O 0.1893 0.7852 0.9935
O9 O 0.2144 0.7361 0.4077
O10 O 0.2409 0.9191 0.7891
O11 O 0.2587 0.0104 0.3895
O12 O 0.2668 0.3607 0.4136
O13 O 0.3411 0.1224 0.2062
O14 O 0.3448 0.5622 0.8073
O15 O 0.3936 0.7356 0.2071
O16 O 0.4029 0.6879 0.6163
O17 O 0.4390 0.9667 0.6013
O18 O 0.4527 0.2824 0.5808
O19 O 0.4928 0.1759 0.9964
O20 O 0.5000 0.5000 0.0000
```

Record 3
LiMoO2: theoretical X-ray diffraction stick pattern (Cu Kα, 1.54184 Å), based on a structure optimized by DFT (PBE+U).
Lines closer than 0.1° are merged.

Most intense lines, 10 to 80 degrees two-theta, low angle first:
- 2θ = 24.31°, I 100
- 2θ = 32.97°, I 40
- 2θ = 33.27°, I 37
- 2θ = 34.06°, I 11
- 2θ = 35.22°, I 15
- 2θ = 48.35°, I 46
- 2θ = 49.02°, I 28
- 2θ = 49.81°, I 21
- 2θ = 60.27°, I 9
- 2θ = 61.97°, I 13
- 2θ = 63.98°, I 12
- 2θ = 71.75°, I 12

Structural model:
```
data_LiMoO2
_symmetry_space_group_name_H-M 'P 1 21/c 1'
_symmetry_Int_Tables_number 14
_cell_length_a 6.0018
_cell_length_b 5.2648
_cell_length_c 6.0028
_cell_angle_alpha 90.00
_cell_angle_beta 116.21
_cell_angle_gamma 90.00
loop_
_symmetry_equiv_pos_as_xyz
'x,y,z'
'-x,-y,-z'
'-x,y+1/2,-z+1/2'
'x,-y+1/2,z+1/2'
loop_
_atom_site_label
_atom_site_type_symbol
_atom_site_fract_x
_atom_site_fract_y
_atom_site_fract_z
Li1 Li 0.2478 0.0035 0.2517
Mo1 Mo 0.2502 0.5016 0.2498
O1 O 0.0841 0.7329 0.9144
O2 O 0.4143 0.2336 0.0841
```